This entry pairs a crystal structure of SmZn5Ag7 with its computed PXRD pattern. Radiation: Cu Kα X-rays. Structure: the PBE geometry in Alexandria.
Neutral-atom scattering factors, no anomalous dispersion.

Cell and atoms:
Unit cell a=7.0958 b=7.0958 c=5.2534 alpha=111.12 beta=111.12 gamma=82.16
Fractional positions:
Sm1 0.0000 0.0000 0.0000
Zn1 0.4967 0.9936 0.4950
Zn2 0.4975 0.9936 0.9963
Zn3 0.7773 0.7773 0.2788
Zn4 0.9936 0.4967 0.4950
Zn5 0.9936 0.4975 0.9963
Ag1 0.2017 0.7853 0.4947
Ag2 0.2175 0.2175 0.7160
Ag3 0.3451 0.6508 0.9989
Ag4 0.3498 0.3498 0.3458
Ag5 0.6508 0.3451 0.9989
Ag6 0.6560 0.6560 0.6594
Ag7 0.7853 0.2017 0.4947

The 10 most intense peaks (2θ from 10° to 90°), by intensity:
2theta, d [Å], I_rel
38.85, 2.318, 1000
38.61, 2.332, 958
33.51, 2.675, 896
38.32, 2.349, 519
34.14, 2.626, 514
38.44, 2.342, 487
39.37, 2.288, 435
43.78, 2.068, 427
44.25, 2.047, 393
70.41, 1.337, 346